Ho5Hg2PdRh2: theoretical powder diffractogram (Cu Kα), based on a crystal structure in Alexandria, relaxed with GGA-PBE.
Neutral-atom scattering factors, no anomalous dispersion.

```
data_Ho5Hg2PdRh2
_chemical_formula_sum 'Ho10 Hg4 Pd2 Rh4'
_cell_length_a 11.5071
_cell_length_b 11.5071
_cell_length_c 3.5914
_cell_angle_alpha 90.00
_cell_angle_beta 90.00
_cell_angle_gamma 90.00
_space_group_name_H-M_alt 'P 4/m b m'
_space_group_IT_number 127
_space_group_name_Hall '-P 4 2ab'
loop_
_atom_site_label
_atom_site_fract_x
_atom_site_fract_y
_atom_site_fract_z
_atom_site_occupancy
Ho1 0.0000 0.5000 0.0000 1
Ho2 0.0830 0.1952 0.0000 1
Hg1 0.1713 0.6713 0.5000 1
Pd1 0.0000 0.0000 0.5000 1
Rh1 0.1323 0.3677 0.5000 1
```

Principal peaks in the range 10° ≤ 2θ ≤ 90°, most intense first:
(3 1 1), d 2.556, I = 100.0
(4 1 0), d 2.791, I = 49.6
(3 2 1), d 2.386, I = 31.8
(4 2 0), d 2.573, I = 21.7
(2 1 1), d 2.945, I = 19.7
(4 1 2), d 1.510, I = 19.0
(0 0 2), d 1.796, I = 16.0
(3 3 0), d 2.712, I = 15.4
(6 2 1), d 1.623, I = 14.1
(7 2 1), d 1.447, I = 13.6
(5 5 0), d 1.627, I = 11.8
(5 5 1), d 1.482, I = 9.0

***

HoScHgPd: theoretical powder diffractogram (Cu Kα), based on a crystal structure in Alexandria, relaxed with GGA-PBE.
Neutral-atom scattering factors, no anomalous dispersion.

```
data_HoScHgPd
_chemical_formula_sum 'Ho1 Sc1 Hg1 Pd1'
_cell_length_a 3.4189
_cell_length_b 3.4189
_cell_length_c 7.3849
_cell_angle_alpha 90.00
_cell_angle_beta 90.00
_cell_angle_gamma 90.00
_space_group_name_H-M_alt 'P 4 m m'
_space_group_IT_number 99
loop_
_space_group_symop_operation_xyz
'x,y,z'
'-y,x,z'
'-x,-y,z'
'y,-x,z'
'-x,y,z'
'y,x,z'
'x,-y,z'
'-y,-x,z'
loop_
_atom_site_label
_atom_site_fract_x
_atom_site_fract_y
_atom_site_fract_z
_atom_site_occupancy
Ho1 0.0000 0.0000 0.0000 1
Sc1 0.0000 0.0000 0.4526 1
Hg1 0.5000 0.5000 0.7069 1
Pd1 0.5000 0.5000 0.2523 1
```

Principal peaks in the range 10° ≤ 2θ ≤ 90°, most intense first:
(1 0 2), d 2.509, I = 100.0
(1 1 0), d 2.418, I = 48.8
(2 1 2), d 1.413, I = 33.1
(1 0 1), d 3.103, I = 28.5
(2 0 0), d 1.709, I = 16.9
(1 1 4), d 1.467, I = 14.6
(1 1 3), d 1.725, I = 11.5
(0 0 1), d 7.385, I = 10.7
(2 0 4), d 1.254, I = 8.7
(0 0 3), d 2.462, I = 8.2
(1 0 5), d 1.356, I = 8.0
(0 0 4), d 1.846, I = 7.8

***

TbHoHgPd: theoretical powder diffractogram (Cu Kα), based on a crystal structure in Alexandria, relaxed with GGA-PBE.
Neutral-atom scattering factors, no anomalous dispersion.

```
data_TbHoHgPd
_chemical_formula_sum 'Tb1 Ho1 Hg1 Pd1'
_cell_length_a 3.5835
_cell_length_b 3.5835
_cell_length_c 7.3617
_cell_angle_alpha 90.00
_cell_angle_beta 90.00
_cell_angle_gamma 90.00
_space_group_name_H-M_alt 'P 4 m m'
_space_group_IT_number 99
loop_
_space_group_symop_operation_xyz
'x,y,z'
'-y,x,z'
'-x,-y,z'
'y,-x,z'
'-x,y,z'
'y,x,z'
'x,-y,z'
'-y,-x,z'
loop_
_atom_site_label
_atom_site_fract_x
_atom_site_fract_y
_atom_site_fract_z
_atom_site_occupancy
Tb1 0.0000 0.0000 0.0000 1
Ho1 0.0000 0.0000 0.4589 1
Hg1 0.5000 0.5000 0.7260 1
Pd1 0.5000 0.5000 0.2349 1
```

Principal peaks in the range 10° ≤ 2θ ≤ 90°, most intense first:
(1 0 2), d 2.568, I = 100.0
(1 1 0), d 2.534, I = 49.9
(2 1 2), d 1.469, I = 35.9
(2 0 0), d 1.792, I = 17.8
(1 1 4), d 1.489, I = 16.9
(2 0 4), d 1.284, I = 10.3
(0 0 4), d 1.840, I = 8.4
(1 0 1), d 3.222, I = 8.3
(3 1 0), d 1.133, I = 8.3
(3 0 2), d 1.136, I = 8.0
(1 0 6), d 1.161, I = 6.4
(2 2 0), d 1.267, I = 5.7